TbTmCl: simulated powder diffractogram (Cu Kα), based on a DFT-relaxed cell (PBE, Alexandria).

Structure:
```
TbTmCl
1.0
3.5437 0.0000 0.0000
1.7713 3.0695 0.0000
1.7598 -1.0046 14.6575
Tb Tm Cl
2 2 2
Cartesian
0.0000 0.0000 0.0000 Tb
3.5274 2.0685 9.0280 Tb
3.5270 2.0686 4.7593 Tm
3.5302 0.0210 11.8305 Tm
3.5266 0.0226 6.7982 Cl
3.5286 0.0215 2.8534 Cl
```

Top 10 peaks for 10° ≤ 2θ ≤ 90°, sorted by position:
two_theta, I_rel
18.16, 248
29.17, 577
29.38, 306
30.23, 495
32.47, 284
33.44, 1000
35.67, 812
36.79, 246
41.12, 307
51.58, 547